TlCoAgF4: calculated X-ray diffraction stick pattern (a wavelength of 1.5418 Å), based on a DFT-relaxed cell (PBE+U, Alexandria).
Neutral-atom scattering factors, no anomalous dispersion.

a = 5.853 Å, b = 6.027 Å, c = 7.808 Å
α = 90.00°, β = 105.25°, γ = 90.00°
Positions (direct):
Tl 0.103 0.250 0.134
Tl 0.897 0.750 0.866
Co 0.366 0.250 0.696
Co 0.634 0.750 0.304
Ag 0.183 0.750 0.468
Ag 0.817 0.250 0.532
F 0.158 0.004 0.716
F 0.158 0.496 0.716
F 0.306 0.750 0.177
F 0.385 0.250 0.449
F 0.615 0.750 0.551
F 0.694 0.250 0.823
F 0.842 0.504 0.284
F 0.842 0.996 0.284

Largest 10 diffraction maxima, by intensity, 2θ from 5° to 70°:
2theta  d_spacing  I (rel.)  index
26.57  3.354  100  1 1 1
28.88  3.091  78  1 1 -2
27.93  3.194  66  0 1 2
29.64  3.014  62  0 2 0
15.69  5.647  52  1 0 0
39.84  2.263  44  2 1 1
43.24  2.092  35  2 2 -1
16.97  5.226  30  1 0 -1
30.76  2.907  29  2 0 -1
34.35  2.611  26  1 2 -1